(1)
Ba4PrSmCu6O14: simulated powder diffractogram (Cu Kα X-rays), based on a structure optimized by DFT (PBE).
Neutral-atom scattering factors, no anomalous dispersion.

Peak list (10 most intense, 10° ≤ 2θ ≤ 80°, most intense first)
- 32.2 deg, I 100
- 31.9 deg, I 47
- 57.1 deg, I 20
- 57.0 deg, I 19
- 57.7 deg, I 17
- 39.6 deg, I 15
- 45.8 deg, I 14
- 46.7 deg, I 14
- 45.6 deg, I 11
- 67.5 deg, I 8

Atomic structure:
```
Ba4PrSmCu6O14
1.0
3.8883 0.0000 0.0000
0.0000 3.9596 0.0000
0.0000 0.0000 23.8692
Ba Pr Sm Cu O
4 1 1 6 14
Direct
0.0000 0.0000 0.1603
0.0000 0.0000 0.3400
0.0000 0.0000 0.6600
0.0000 0.0000 0.8397
0.0000 0.0000 0.0000
0.0000 0.0000 0.5000
0.5000 0.5000 0.0771
0.5000 0.5000 0.2501
0.5000 0.5000 0.4241
0.5000 0.5000 0.5759
0.5000 0.5000 0.7499
0.5000 0.5000 0.9229
0.0000 0.5000 0.0646
0.0000 0.5000 0.4377
0.0000 0.5000 0.5623
0.0000 0.5000 0.9354
0.5000 0.0000 0.0652
0.5000 0.0000 0.2502
0.5000 0.0000 0.4372
0.5000 0.0000 0.5628
0.5000 0.0000 0.7498
0.5000 0.0000 0.9348
0.5000 0.5000 0.1712
0.5000 0.5000 0.3291
0.5000 0.5000 0.6709
0.5000 0.5000 0.8288
```

***

(2)
Ca2CdPb: simulated powder diffractogram (Cu Kα X-rays), based on a structure optimized by DFT (PBE).
Neutral-atom scattering factors, no anomalous dispersion.

Peak list (10 most intense, 10° ≤ 2θ ≤ 80°, most intense first)
- 32.6 deg, I 100
- 22.9 deg, I 39
- 58.1 deg, I 37
- 52.6 deg, I 18
- 46.7 deg, I 18
- 77.7 deg, I 16
- 40.2 deg, I 13
- 68.2 deg, I 11
- 19.8 deg, I 10
- 73.0 deg, I 9

Atomic structure:
```
Ca2CdPb
1.0
0.0000 3.8881 3.8881
3.8881 0.0000 3.8881
3.8881 3.8881 0.0000
Ca Cd Pb
2 1 1
Direct
0.2500 0.2500 0.2500
0.7500 0.7500 0.7500
0.0000 0.0000 0.0000
0.5000 0.5000 0.5000
```

***

(3)
Ba4Ga3Ge20: simulated powder diffractogram (Cu Kα X-rays), based on a structure optimized by DFT (PBE).
Neutral-atom scattering factors, no anomalous dispersion.

Peak list (10 most intense, 10° ≤ 2θ ≤ 80°, most intense first)
- 30.3 deg, I 100
- 51.0 deg, I 47
- 29.1 deg, I 40
- 48.0 deg, I 36
- 28.0 deg, I 28
- 49.5 deg, I 21
- 32.4 deg, I 15
- 33.4 deg, I 14
- 48.8 deg, I 12
- 61.7 deg, I 8

Atomic structure:
```
Ba4Ga3Ge20
1.0
11.0486 0.0000 0.0000
0.0000 11.0486 0.0000
0.0000 0.0000 11.0486
Ba Ga Ge
8 6 40
Direct
0.0000 0.0000 0.0000
0.0000 0.2500 0.5000
0.0000 0.7500 0.5000
0.2500 0.5000 0.0000
0.5000 0.0000 0.2500
0.5000 0.0000 0.7500
0.5000 0.5000 0.5000
0.7500 0.5000 0.0000
0.0000 0.5000 0.2500
0.0000 0.5000 0.7500
0.2500 0.0000 0.5000
0.5000 0.2500 0.0000
0.5000 0.7500 0.0000
0.7500 0.0000 0.5000
0.0000 0.3086 0.1186
0.0000 0.3086 0.8814
0.0000 0.6914 0.1186
0.0000 0.6914 0.8814
0.1186 0.0000 0.3086
0.1186 0.0000 0.6914
0.1846 0.1846 0.1846
0.1846 0.1846 0.8154
0.1846 0.8154 0.1846
0.1846 0.8154 0.8154
0.1914 0.5000 0.3814
0.1914 0.5000 0.6186
0.3086 0.1186 0.0000
0.3086 0.8814 0.0000
0.3154 0.3154 0.3154
0.3154 0.3154 0.6846
0.3154 0.6846 0.3154
0.3154 0.6846 0.6846
0.3814 0.1914 0.5000
0.3814 0.8086 0.5000
0.5000 0.3814 0.1914
0.5000 0.3814 0.8086
0.5000 0.6186 0.1914
0.5000 0.6186 0.8086
0.6186 0.1914 0.5000
0.6186 0.8086 0.5000
0.6846 0.3154 0.3154
0.6846 0.3154 0.6846
0.6846 0.6846 0.3154
0.6846 0.6846 0.6846
0.6914 0.1186 0.0000
0.6914 0.8814 0.0000
0.8086 0.5000 0.3814
0.8086 0.5000 0.6186
0.8154 0.1846 0.1846
0.8154 0.1846 0.8154
0.8154 0.8154 0.1846
0.8154 0.8154 0.8154
0.8814 0.0000 0.3086
0.8814 0.0000 0.6914
```

***

(4)
PrMn2Si2: simulated powder diffractogram (Cu Kα X-rays), based on a structure optimized by DFT (PBE).
Neutral-atom scattering factors, no anomalous dispersion.

Peak list (10 most intense, 10° ≤ 2θ ≤ 80°, most intense first)
- 36.1 deg, I 100
- 34.0 deg, I 79
- 23.9 deg, I 45
- 58.0 deg, I 41
- 45.5 deg, I 38
- 48.9 deg, I 22
- 62.3 deg, I 20
- 77.9 deg, I 20
- 69.0 deg, I 15
- 66.3 deg, I 12

Atomic structure:
```
PrMn2Si2
1.0
-1.9936 1.9936 5.2639
1.9936 -1.9936 5.2639
1.9936 1.9936 -5.2639
Pr Mn Si
1 2 2
Direct
0.0000 0.0000 0.0000
0.2500 0.7500 0.5000
0.7500 0.2500 0.5000
0.3738 0.3738 0.0000
0.6262 0.6262 0.0000
```

***

(5)
Ba8Ho3Pt4O18: simulated powder diffractogram (Cu Kα X-rays), based on a structure optimized by DFT (PBE).
Neutral-atom scattering factors, no anomalous dispersion.

Peak list (10 most intense, 10° ≤ 2θ ≤ 80°, most intense first)
- 29.8 deg, I 100
- 53.0 deg, I 39
- 42.7 deg, I 25
- 70.3 deg, I 16
- 62.0 deg, I 16
- 10.4 deg, I 12
- 78.2 deg, I 5
- 18.1 deg, I 4
- 14.8 deg, I 4
- 38.3 deg, I 4

Atomic structure:
```
Ba8Ho3Pt4O18
1.0
8.4701 0.0000 0.0000
0.0000 8.4701 0.0000
0.0000 0.0000 8.4701
Ba Ho Pt O
8 3 4 18
Direct
0.2369 0.2369 0.2369
0.2369 0.2369 0.7631
0.2369 0.7631 0.2369
0.2369 0.7631 0.7631
0.7631 0.2369 0.2369
0.7631 0.2369 0.7631
0.7631 0.7631 0.2369
0.7631 0.7631 0.7631
0.0000 0.0000 0.5000
0.0000 0.5000 0.0000
0.5000 0.0000 0.0000
0.0000 0.0000 0.0000
0.0000 0.5000 0.5000
0.5000 0.0000 0.5000
0.5000 0.5000 0.0000
0.0000 0.0000 0.2394
0.0000 0.0000 0.7606
0.0000 0.2394 0.0000
0.0000 0.2609 0.5000
0.0000 0.5000 0.2609
0.0000 0.5000 0.7391
0.0000 0.7391 0.5000
0.0000 0.7606 0.0000
0.2394 0.0000 0.0000
0.2609 0.0000 0.5000
0.2609 0.5000 0.0000
0.5000 0.0000 0.2609
0.5000 0.0000 0.7391
0.5000 0.2609 0.0000
0.5000 0.7391 0.0000
0.7391 0.0000 0.5000
0.7391 0.5000 0.0000
0.7606 0.0000 0.0000
```

***

(6)
Cs2RbDyCl6: simulated powder diffractogram (Cu Kα X-rays), based on a structure optimized by DFT (PBE).
Neutral-atom scattering factors, no anomalous dispersion.

Peak list (10 most intense, 10° ≤ 2θ ≤ 80°, most intense first)
- 21.7 deg, I 100
- 30.9 deg, I 55
- 38.1 deg, I 46
- 44.3 deg, I 38
- 59.8 deg, I 27
- 49.9 deg, I 24
- 73.2 deg, I 15
- 55.0 deg, I 13
- 68.9 deg, I 12
- 13.3 deg, I 12

Atomic structure:
```
Cs2RbDyCl6
1.0
0.0000 5.7835 5.7835
5.7835 0.0000 5.7835
5.7835 5.7835 0.0000
Cs Rb Dy Cl
2 1 1 6
Direct
0.2500 0.2500 0.2500
0.7500 0.7500 0.7500
0.0000 0.0000 0.0000
0.5000 0.5000 0.5000
0.2717 0.2717 0.7283
0.2717 0.7283 0.2717
0.2717 0.7283 0.7283
0.7283 0.2717 0.2717
0.7283 0.2717 0.7283
0.7283 0.7283 0.2717
```

***

(7)
CeAl2: simulated powder diffractogram (Cu Kα X-rays), based on a structure optimized by DFT (PBE).
Neutral-atom scattering factors, no anomalous dispersion.

Peak list (10 most intense, 10° ≤ 2θ ≤ 80°, most intense first)
- 37.5 deg, I 100
- 31.8 deg, I 96
- 19.3 deg, I 56
- 56.7 deg, I 37
- 60.5 deg, I 33
- 66.5 deg, I 22
- 75.6 deg, I 16
- 50.0 deg, I 14
- 78.9 deg, I 11
- 70.0 deg, I 10

Atomic structure:
```
CeAl2
1.0
0.0000 3.9768 3.9768
3.9768 0.0000 3.9768
3.9768 3.9768 0.0000
Ce Al
2 4
Direct
0.1250 0.1250 0.1250
0.8750 0.8750 0.8750
0.0000 0.5000 0.5000
0.5000 0.0000 0.5000
0.5000 0.5000 0.0000
0.5000 0.5000 0.5000
```